The following is a simulated powder diffractogram of DyZn4Pd2. It was derived from a crystal structure in Alexandria, relaxed with PBE, using Cu Ka.

Structure:
```
DyZn4Pd2
1.0
7.4970 0.0000 0.0000
0.0000 7.4970 0.0000
0.0000 0.0000 4.2715
Dy Zn Pd
2 8 4
Direct
0.0000 0.0000 0.0000
0.5000 0.5000 0.5000
0.0994 0.3542 0.5000
0.1458 0.5994 0.0000
0.3542 0.0994 0.5000
0.4006 0.8542 0.0000
0.5994 0.1458 0.0000
0.6458 0.9006 0.5000
0.8542 0.4006 0.0000
0.9006 0.6458 0.5000
0.2160 0.7840 0.5000
0.2840 0.2840 0.0000
0.7160 0.7160 0.0000
0.7840 0.2160 0.5000
```

Peak list (8 most intense, 2θ = 10–90°, by angle)
2θ/deg  I_rel  hkl
33.82  38  2 2 0
33.99  100  2 1 1
37.95  39  3 1 0
40.03  42  2 2 1
42.32  44  0 0 2
43.67  70  3 1 1
58.13  22  3 1 2
66.04  22  4 3 1